[1]
Diffraction record for CoAgPO4. The powder XRD pattern is calculated, not measured: it uses DFT lattice parameters and positions (PBE+U) and Cu Kα (weighted mean of Kα1 and Kα2).
No peak broadening, texture or thermal motion is included.

Cell and atoms:
Unit cell a=5.521 b=6.582 c=9.500 alpha=73.87 beta=80.18 gamma=77.77
Space group P-1 (No. 2)
Inequivalent atoms, fractional coordinates:
Co1 0.179 0.059 0.212 (multiplicity 2)
Co2 0.286 0.169 0.568 (multiplicity 2)
Ag1 0.166 0.377 0.879 (multiplicity 2)
Ag2 0.339 0.523 0.247 (multiplicity 2)
P1 0.179 0.714 0.537 (multiplicity 2)
P2 0.319 0.854 0.907 (multiplicity 2)
O1 0.088 0.211 0.387 (multiplicity 2)
O2 0.123 0.734 0.878 (multiplicity 2)
O3 0.139 0.778 0.369 (multiplicity 2)
O4 0.260 0.882 0.064 (multiplicity 2)
O5 0.265 0.473 0.592 (multiplicity 2)
O6 0.313 0.073 0.790 (multiplicity 2)
O7 0.371 0.840 0.560 (multiplicity 2)
O8 0.412 0.278 0.113 (multiplicity 2)

Largest 8 diffraction maxima, most intense first, 10° ≤ 2θ ≤ 80°:
| d (Å) | I_rel | hkl |
| --- | --- | --- |
| 2.932 | 100 | 0 2 2 |
| 2.694 | 71 | 2 1 1 |
| 2.564 | 56 | 1 2 -1 |
| 2.507 | 51 | 1 0 -3 |
| 2.776 | 46 | 1 0 3 |
| 2.679 | 42 | 2 0 0 |
| 2.798 | 39 | 1 -1 2 |
| 3.020 | 25 | 0 0 3 |

=====

[2]
Diffraction record for CoAgSO. The powder XRD pattern is calculated, not measured: it uses DFT lattice parameters and positions (PBE+U) and Cu Kα (weighted mean of Kα1 and Kα2).
No peak broadening, texture or thermal motion is included.

Cell and atoms:
Unit cell a=3.683 b=6.868 c=5.331 alpha=90.00 beta=90.00 gamma=90.00
Space group Pmc2_1 (No. 26)
Inequivalent atoms, fractional coordinates:
Co1 0.000 0.137 0.000 (multiplicity 2)
Ag1 0.500 0.313 0.582 (multiplicity 2)
S1 0.500 0.324 0.104 (multiplicity 2)
O1 0.000 0.110 0.646 (multiplicity 2)

Largest 8 diffraction maxima, most intense first, 10° ≤ 2θ ≤ 80°:
| d (Å) | I_rel | hkl |
| --- | --- | --- |
| 2.772 | 100 | 1 1 1 |
| 3.246 | 81 | 1 1 0 |
| 2.665 | 68 | 0 0 2 |
| 1.944 | 54 | 1 3 0 |
| 2.887 | 47 | 0 2 1 |
| 3.434 | 41 | 0 2 0 |
| 1.571 | 39 | 1 3 2 |
| 1.842 | 29 | 2 0 0 |

=====

[3]
Diffraction record for CoAgSO. The powder XRD pattern is calculated, not measured: it uses DFT lattice parameters and positions (PBE+U) and Cu Kα (weighted mean of Kα1 and Kα2).
No peak broadening, texture or thermal motion is included.

Cell and atoms:
Unit cell a=2.856 b=14.632 c=5.395 alpha=90.00 beta=90.00 gamma=90.00
Space group Cmcm (No. 63)
Inequivalent atoms, fractional coordinates:
Co1 0.000 0.039 0.250 (multiplicity 4)
Ag1 0.000 0.339 0.250 (multiplicity 4)
S1 0.000 0.315 0.750 (multiplicity 4)
O1 0.000 0.500 0.000 (multiplicity 4)

Largest 8 diffraction maxima, most intense first, 10° ≤ 2θ ≤ 80°:
| d (Å) | I_rel | hkl |
| --- | --- | --- |
| 1.819 | 100 | 1 3 2 |
| 2.465 | 94 | 1 3 0 |
| 2.697 | 75 | 0 0 2 |
| 3.028 | 64 | 0 4 1 |
| 2.487 | 42 | 1 1 1 |
| 2.439 | 38 | 0 6 0 |
| 4.342 | 29 | 0 2 1 |
| 2.222 | 26 | 0 6 1 |

=====

[4]
Diffraction record for Co2Ag3SbO6. The powder XRD pattern is calculated, not measured: it uses DFT lattice parameters and positions (PBE+U) and Cu Kα (weighted mean of Kα1 and Kα2).
No peak broadening, texture or thermal motion is included.

Cell and atoms:
Unit cell a=5.3676 b=5.3676 c=18.8723 alpha=90.00 beta=90.00 gamma=120.00
Space group P3_112 (No. 151)
Inequivalent atoms, fractional coordinates:
Co1 0.1073 0.2147 0.1667 (multiplicity 3)
Co2 0.1164 0.5582 0.5000 (multiplicity 3)
Ag1 0.0997 0.5498 0.0000 (multiplicity 3)
Ag2 0.1128 0.2256 0.6667 (multiplicity 3)
Ag3 0.4458 0.2229 0.0000 (multiplicity 3)
Sb1 0.4525 0.2263 0.5000 (multiplicity 3)
O1 0.0946 0.5464 0.8888 (multiplicity 6)
O2 0.0962 0.2299 0.7779 (multiplicity 6)
O3 0.4520 0.2260 0.1113 (multiplicity 6)

Largest 8 diffraction maxima, most intense first, 10° ≤ 2θ ≤ 80°:
| d (Å) | I_rel | hkl |
| --- | --- | --- |
| 2.581 | 100 | 1 1 2 |
| 2.333 | 50 | 2 -1 4 |
| 3.145 | 45 | 0 0 6 |
| 1.772 | 36 | 1 1 8 |
| 1.549 | 24 | 3 0 0 |
| 1.544 | 22 | 2 -1 10 |
| 1.390 | 22 | 3 0 6 |
| 1.329 | 11 | 4 -2 2 |

=====

Repeat the second record exactly.
Diffraction record for CoAgSO. The powder XRD pattern is calculated, not measured: it uses DFT lattice parameters and positions (PBE+U) and Cu Kα (weighted mean of Kα1 and Kα2).
No peak broadening, texture or thermal motion is included.

Cell and atoms:
Unit cell a=3.683 b=6.868 c=5.331 alpha=90.00 beta=90.00 gamma=90.00
Space group Pmc2_1 (No. 26)
Inequivalent atoms, fractional coordinates:
Co1 0.000 0.137 0.000 (multiplicity 2)
Ag1 0.500 0.313 0.582 (multiplicity 2)
S1 0.500 0.324 0.104 (multiplicity 2)
O1 0.000 0.110 0.646 (multiplicity 2)

Largest 8 diffraction maxima, most intense first, 10° ≤ 2θ ≤ 80°:
| d (Å) | I_rel | hkl |
| --- | --- | --- |
| 2.772 | 100 | 1 1 1 |
| 3.246 | 81 | 1 1 0 |
| 2.665 | 68 | 0 0 2 |
| 1.944 | 54 | 1 3 0 |
| 2.887 | 47 | 0 2 1 |
| 3.434 | 41 | 0 2 0 |
| 1.571 | 39 | 1 3 2 |
| 1.842 | 29 | 2 0 0 |